Structure and computed XRD peak list of CrCo3O8 (a PBE+U-relaxed structure; Cu Kα (λ = 1.5418 Å)).
Peak positions follow from Bragg's law for the DFT cell and can differ from measured ones.

Atomic structure:
Cell: 5.6174 5.6174 8.8952 Å, 90.00 90.00 120.00°
Positions (direct):
Cr  0.3333  0.6667  0.0000
Cr  0.6667  0.3333  0.5000
Co  0.1675  0.3350  0.7196
Co  0.1675  0.8325  0.7196
Co  0.3350  0.1675  0.2196
Co  0.6650  0.8325  0.7196
Co  0.8325  0.1675  0.2196
Co  0.8325  0.6650  0.2196
O  0.0000  0.0000  0.3274
O  0.0000  0.0000  0.8274
O  0.0432  0.5216  0.8404
O  0.1647  0.3293  0.1156
O  0.1647  0.8353  0.1156
O  0.3293  0.1647  0.6156
O  0.3333  0.6667  0.6091
O  0.4784  0.5216  0.8404
O  0.4784  0.9568  0.8404
O  0.5216  0.0432  0.3404
O  0.5216  0.4784  0.3404
O  0.6667  0.3333  0.1091
O  0.6707  0.8353  0.1156
O  0.8353  0.1647  0.6156
O  0.8353  0.6707  0.6156
O  0.9568  0.4784  0.3404

Peak list (8 most intense, 2θ from 15° to 90°, in order of rising 2θ)
hkl, 2θ/deg, d_spacing, intensity
0 0 2, 19.96, 4.448, 87
1 0 1, 20.81, 4.268, 100
1 1 2, 37.89, 2.375, 47
2 0 1, 38.36, 2.346, 58
2 0 2, 42.35, 2.134, 40
2 0 3, 48.40, 1.881, 58
2 0 5, 64.94, 1.436, 41
2 2 0, 66.59, 1.404, 36